(1)
# La5PmTm4
Computed powder diffractogram, copper Kα. Input: a crystal structure in Alexandria, relaxed with GGA-PBE.
Kinematic intensities with the Lorentz-polarization factor, no thermal factor.

Top 10 peaks for 2θ from 10° to 90°, sorted by position:
2θ 30.12, I = 100; 2θ 34.25, I = 36; 2θ 36.23, I = 15; 2θ 49.22, I = 13; 2θ 50.71, I = 23; 2θ 58.79, I = 30; 2θ 61.42, I = 12; 2θ 62.62, I = 12; 2θ 80.13, I = 6; 2θ 82.41, I = 17

Atomic structure:
```
La5PmTm4
1.0
3.703 0.000 0.000
0.000 3.703 0.000
0.000 0.000 24.797
La Pm Tm
5 1 4
Direct
0.000 0.000 0.000
0.000 0.000 0.197
0.000 0.000 0.396
0.000 0.000 0.604
0.000 0.000 0.803
0.500 0.500 0.500
0.500 0.500 0.099
0.500 0.500 0.296
0.500 0.500 0.704
0.500 0.500 0.901
```


(2)
# La9Pm4Tm
Computed powder diffractogram, copper Kα. Input: a crystal structure in Alexandria, relaxed with GGA-PBE.
Kinematic intensities with the Lorentz-polarization factor, no thermal factor.

Top 10 peaks for 2θ from 10° to 90°, sorted by position:
2θ 30.74, I = 38; 2θ 30.85, I = 25; 2θ 31.18, I = 100; 2θ 31.72, I = 37; 2θ 35.65, I = 13; 2θ 47.78, I = 12; 2θ 50.21, I = 23; 2θ 54.68, I = 18; 2θ 54.94, I = 31; 2θ 64.05, I = 25

Atomic structure:
```
La9Pm4Tm
1.0
10.073 0.000 0.000
-5.036 8.723 0.000
0.000 0.000 11.637
La Pm Tm
18 8 2
Direct
0.079 0.539 0.250
0.207 0.415 0.530
0.207 0.415 0.970
0.207 0.793 0.530
0.207 0.793 0.970
0.415 0.207 0.030
0.415 0.207 0.470
0.461 0.539 0.250
0.461 0.921 0.250
0.539 0.079 0.750
0.539 0.461 0.750
0.585 0.793 0.530
0.585 0.793 0.970
0.793 0.207 0.030
0.793 0.207 0.470
0.793 0.585 0.030
0.793 0.585 0.470
0.921 0.461 0.750
0.000 0.000 0.000
0.000 0.000 0.500
0.113 0.225 0.250
0.113 0.887 0.250
0.225 0.113 0.750
0.775 0.887 0.250
0.887 0.113 0.750
0.887 0.775 0.750
0.333 0.667 0.750
0.667 0.333 0.250
```


(3)
# La2PmTm12
Computed powder diffractogram, copper Kα. Input: a crystal structure in Alexandria, relaxed with GGA-PBE.
Kinematic intensities with the Lorentz-polarization factor, no thermal factor.

Top 10 peaks for 2θ from 10° to 90°, sorted by position:
2θ 29.82, I = 25; 2θ 30.60, I = 67; 2θ 31.28, I = 100; 2θ 32.03, I = 83; 2θ 32.54, I = 44; 2θ 33.93, I = 41; 2θ 34.34, I = 55; 2θ 36.38, I = 27; 2θ 46.30, I = 29; 2θ 61.94, I = 28

Atomic structure:
```
La2PmTm12
1.0
3.549 0.000 0.000
0.000 5.589 0.000
-1.753 0.000 23.987
La Pm Tm
2 1 12
Direct
0.139 0.000 0.281
0.861 0.000 0.719
0.500 0.000 0.000
0.034 0.500 0.067
0.064 0.000 0.135
0.223 0.500 0.445
0.284 0.000 0.569
0.335 0.500 0.669
0.407 0.500 0.809
0.593 0.500 0.191
0.665 0.500 0.331
0.716 0.000 0.431
0.777 0.500 0.555
0.936 0.000 0.865
0.966 0.500 0.933
```


(4)
# LaPm3Tm8
Computed powder diffractogram, copper Kα. Input: a crystal structure in Alexandria, relaxed with GGA-PBE.
Kinematic intensities with the Lorentz-polarization factor, no thermal factor.

Top 10 peaks for 2θ from 10° to 90°, sorted by position:
2θ 27.37, I = 21; 2θ 31.46, I = 78; 2θ 31.65, I = 100; 2θ 32.31, I = 79; 2θ 35.25, I = 25; 2θ 36.05, I = 50; 2θ 45.71, I = 22; 2θ 52.04, I = 25; 2θ 56.47, I = 23; 2θ 66.10, I = 30

Atomic structure:
```
LaPm3Tm8
1.0
-3.172 5.685 5.698
3.172 -5.685 5.698
3.172 5.685 -5.698
La Pm Tm
1 3 8
Direct
0.000 0.000 0.000
0.252 0.500 0.752
0.500 0.000 0.500
0.748 0.500 0.248
0.077 0.826 0.251
0.253 0.004 0.751
0.253 0.502 0.249
0.425 0.174 0.251
0.575 0.826 0.749
0.747 0.498 0.751
0.747 0.996 0.249
0.923 0.174 0.749
```


(5)
# La3Pm3Tm8
Computed powder diffractogram, copper Kα. Input: a crystal structure in Alexandria, relaxed with GGA-PBE.
Kinematic intensities with the Lorentz-polarization factor, no thermal factor.

Top 10 peaks for 2θ from 10° to 90°, sorted by position:
2θ 29.38, I = 28; 2θ 30.49, I = 29; 2θ 31.58, I = 52; 2θ 31.78, I = 100; 2θ 33.28, I = 61; 2θ 44.46, I = 24; 2θ 56.37, I = 20; 2θ 57.33, I = 13; 2θ 61.20, I = 13; 2θ 62.24, I = 15

Atomic structure:
```
La3Pm3Tm8
1.0
-2.833 5.376 7.649
2.833 -5.376 7.649
2.833 5.376 -7.649
La Pm Tm
3 3 8
Direct
0.000 0.000 0.000
0.189 0.689 0.500
0.811 0.311 0.500
0.199 0.500 0.699
0.500 0.500 0.000
0.801 0.500 0.301
0.119 0.281 0.838
0.239 0.898 0.341
0.443 0.102 0.341
0.443 0.281 0.162
0.557 0.719 0.838
0.557 0.898 0.659
0.761 0.102 0.659
0.881 0.719 0.162
```


(6)
# La14PmTm
Computed powder diffractogram, copper Kα. Input: a crystal structure in Alexandria, relaxed with GGA-PBE.
Kinematic intensities with the Lorentz-polarization factor, no thermal factor.

Top 10 peaks for 2θ from 10° to 90°, sorted by position:
2θ 29.50, I = 14; 2θ 29.97, I = 33; 2θ 30.37, I = 100; 2θ 30.74, I = 22; 2θ 43.48, I = 23; 2θ 53.46, I = 20; 2θ 53.72, I = 9; 2θ 54.42, I = 9; 2θ 60.51, I = 8; 2θ 62.73, I = 8

Atomic structure:
```
La14PmTm
1.0
11.928 0.000 0.000
0.000 5.818 4.159
0.000 -5.818 4.159
La Pm Tm
14 1 1
Direct
0.000 0.000 0.000
0.000 0.432 0.432
0.000 0.530 0.955
0.000 0.955 0.530
0.247 0.244 0.816
0.247 0.816 0.244
0.253 0.309 0.309
0.261 0.746 0.746
0.500 0.521 0.972
0.500 0.972 0.521
0.739 0.746 0.746
0.747 0.309 0.309
0.753 0.244 0.816
0.753 0.816 0.244
0.500 0.463 0.463
0.500 0.038 0.038
```


(7)
# La6Pm8Tm
Computed powder diffractogram, copper Kα. Input: a crystal structure in Alexandria, relaxed with GGA-PBE.
Kinematic intensities with the Lorentz-polarization factor, no thermal factor.

Top 10 peaks for 2θ from 10° to 90°, sorted by position:
2θ 29.57, I = 28; 2θ 30.50, I = 100; 2θ 31.45, I = 31; 2θ 31.71, I = 12; 2θ 33.87, I = 9; 2θ 35.68, I = 14; 2θ 51.45, I = 9; 2θ 53.60, I = 11; 2θ 58.34, I = 9; 2θ 60.91, I = 7

Atomic structure:
```
La6Pm8Tm
1.0
4.662 2.691 7.091
-4.662 2.691 7.091
0.000 -5.383 7.091
La Pm Tm
6 8 1
Direct
0.037 0.595 0.737
0.263 0.963 0.405
0.405 0.263 0.963
0.595 0.737 0.037
0.737 0.037 0.595
0.963 0.405 0.263
0.077 0.077 0.077
0.210 0.614 0.260
0.260 0.210 0.614
0.386 0.740 0.790
0.614 0.260 0.210
0.740 0.790 0.386
0.790 0.386 0.740
0.923 0.923 0.923
0.500 0.500 0.500
```


(8)
# LaPm3Tm6
Computed powder diffractogram, copper Kα. Input: a crystal structure in Alexandria, relaxed with GGA-PBE.
Kinematic intensities with the Lorentz-polarization factor, no thermal factor.

Top 10 peaks for 2θ from 10° to 90°, sorted by position:
2θ 28.04, I = 29; 2θ 29.71, I = 33; 2θ 30.20, I = 20; 2θ 30.60, I = 42; 2θ 31.82, I = 100; 2θ 32.51, I = 32; 2θ 35.16, I = 24; 2θ 49.87, I = 11; 2θ 58.39, I = 10; 2θ 59.76, I = 11

Atomic structure:
```
LaPm3Tm6
1.0
4.727 -7.589 0.000
4.727 7.589 0.000
0.000 0.000 9.080
La Pm Tm
2 6 12
Direct
0.237 0.763 0.500
0.763 0.237 0.000
0.027 0.311 0.538
0.311 0.027 0.038
0.465 0.535 0.551
0.535 0.465 0.051
0.689 0.973 0.538
0.973 0.689 0.038
0.057 0.943 0.690
0.150 0.284 0.877
0.169 0.471 0.206
0.284 0.150 0.377
0.303 0.697 0.850
0.471 0.169 0.706
0.529 0.831 0.206
0.697 0.303 0.350
0.716 0.850 0.877
0.831 0.529 0.706
0.850 0.716 0.377
0.943 0.057 0.190
```